No. 1
Ti2C: calculated powder diffractogram (Cu Kα), based on a crystal structure in the Materials Project, relaxed with GGA-PBE.
Intensities are scaled so that the largest is 100.

Crystal structure
```
data_Ti2C
_chemical_formula_sum 'Ti6 C3'
_symmetry_space_group_name_H-M 'R -3 m'
_symmetry_Int_Tables_number 166
_symmetry_space_group_name_Hall '-R 3 2"'
_cell_length_a 3.0853
_cell_length_b 3.0853
_cell_length_c 14.4424
_cell_angle_alpha 90.00
_cell_angle_beta 90.00
_cell_angle_gamma 120.00
loop_
_atom_site_label
_atom_site_type_symbol
_atom_site_fract_x
_atom_site_fract_y
_atom_site_fract_z
_atom_site_occupancy
Ti1 Ti 0.0000 0.0000 0.2459 1
C1 C 0.0000 0.0000 0.5000 1
```

Largest 12 diffraction maxima, sorted by position, 2θ from 10° to 80°:
- 18.4 deg, rel. 11
- 35.8 deg, rel. 100
- 37.4 deg, rel. 29
- 42.1 deg, rel. 94
- 56.3 deg, rel. 2
- 60.0 deg, rel. 29
- 62.0 deg, rel. 25
- 71.9 deg, rel. 11
- 72.8 deg, rel. 21
- 74.7 deg, rel. 9
- 75.9 deg, rel. 13
- 79.7 deg, rel. 4

No. 2
Ho2Fe4Si9: calculated powder diffractogram (Cu Kα), based on a crystal structure in the Materials Project, relaxed with GGA-PBE.
Intensities are scaled so that the largest is 100.

Crystal structure
```
data_Ho2Fe4Si9
_chemical_formula_sum 'Ho2 Fe4 Si9'
_symmetry_space_group_name_H-M 'P -3 m 1'
_symmetry_Int_Tables_number 164
_symmetry_space_group_name_Hall '-P 3 2"'
_cell_length_a 3.9395
_cell_length_b 3.9395
_cell_length_c 15.9975
_cell_angle_alpha 90.00
_cell_angle_beta 90.00
_cell_angle_gamma 120.00
loop_
_atom_site_label
_atom_site_type_symbol
_atom_site_fract_x
_atom_site_fract_y
_atom_site_fract_z
_atom_site_occupancy
Ho1 Ho 0.3333 0.6667 0.2410 1
Fe1 Fe 0.3333 0.6667 0.5897 1
Fe2 Fe 0.3333 0.6667 0.8984 1
Si1 Si 0.0000 0.0000 0.1268 1
Si2 Si 0.0000 0.0000 0.3493 1
Si3 Si 0.0000 0.0000 0.5000 1
Si4 Si 0.3333 0.6667 0.0432 1
Si5 Si 0.3333 0.6667 0.4350 1
```

Largest 12 diffraction maxima, sorted by position, 2θ from 10° to 80°:
- 11.1 deg, rel. 18
- 26.1 deg, rel. 19
- 26.7 deg, rel. 38
- 31.1 deg, rel. 100
- 33.6 deg, rel. 20
- 38.6 deg, rel. 47
- 43.1 deg, rel. 40
- 46.1 deg, rel. 71
- 56.7 deg, rel. 18
- 58.2 deg, rel. 24
- 58.6 deg, rel. 17
- 75.9 deg, rel. 14